# Tb2Pr3NdHo6
Calculated powder X-ray diffraction pattern, Cu Kα X-rays. Input: a cell relaxed with PBE.
No peak broadening, texture or thermal motion is included.

Cell: 6.233 10.792 11.822 Å, 90.00 100.08 90.00°
Space group C2/m (No. 12)
Inequivalent atoms, fractional coordinates:
Tb: 0.000 0.167 0.000 [4 per cell]
Pr: 0.000 0.000 0.500 [2 per cell]
Pr: 0.000 0.333 0.500 [4 per cell]
Nd: 0.000 0.500 0.000 [2 per cell]
Ho: 0.249 0.000 0.247 [4 per cell]
Ho: 0.250 0.167 0.753 [8 per cell]

Largest 11 diffraction maxima, sorted by position, 10 to 80 degrees two-theta:
- 2θ 30.5, I 100
- 2θ 30.7, I 33
- 2θ 35.4, I 67
- 2θ 50.8, I 24
- 2θ 51.1, I 24
- 2θ 60.4, I 14
- 2θ 60.5, I 28
- 2θ 60.8, I 14
- 2θ 63.4, I 12
- 2θ 64.0, I 4
- 2θ 74.9, I 8



# Ac2La5PrTm
Calculated powder X-ray diffraction pattern, Cu Kα X-rays. Input: a cell relaxed with PBE.
No peak broadening, texture or thermal motion is included.

Cell: 9.339 9.339 15.817 Å, 90.00 90.00 90.00°
Space group I4/mcm (No. 140)
Inequivalent atoms, fractional coordinates:
Ac: 0.125 0.375 0.000 [8 per cell]
La: 0.000 0.000 0.000 [4 per cell]
La: 0.204 0.296 0.353 [16 per cell]
Pr: 0.000 0.000 0.250 [4 per cell]
Tm: 0.000 0.500 0.250 [4 per cell]

Largest 12 diffraction maxima, sorted by position, 10 to 80 degrees two-theta:
- 2θ 27.0, I 54
- 2θ 27.2, I 100
- 2θ 29.6, I 86
- 2θ 30.3, I 23
- 2θ 32.4, I 24
- 2θ 35.1, I 29
- 2θ 35.6, I 17
- 2θ 39.2, I 15
- 2θ 40.3, I 33
- 2θ 43.5, I 17
- 2θ 46.2, I 16
- 2θ 49.4, I 22